Simulated XRD peak list of TaAgSb for Cu Kα X-rays, from a structure optimized by DFT (PBE).
Lines closer than 0.1° are merged.

Structural model:
a b c (Å): 3.6021 4.8406 14.5884
angles (deg): 90.00 90.00 90.00
Fractional positions:
Ta  0.0000  0.0000  0.0000
Ta  0.0000  0.5000  0.5000
Ta  0.5000  0.0000  0.5000
Ta  0.5000  0.5000  0.0000
Ag  0.0000  0.0000  0.6496
Ag  0.0000  0.5000  0.1496
Ag  0.5000  0.0000  0.1496
Ag  0.5000  0.5000  0.6496
Sb  0.0000  0.0000  0.3451
Sb  0.0000  0.5000  0.8451
Sb  0.5000  0.0000  0.8451
Sb  0.5000  0.5000  0.3451

The 10 most intense peaks (10° ≤ 2θ ≤ 90°), sorted by position:
d_spacing  2theta  I_rel
7.294  12.1  20
2.484  36.2  100
2.431  37.0  21
2.420  37.1  24
1.801  50.7  10
1.715  53.4  14
1.445  64.5  9
1.414  66.1  12
1.409  66.3  17
1.242  76.7  10

***

Simulated XRD peak list of Na4PSe4 for Cu Kα X-rays, from a structure optimized by DFT (PBE).
Lines closer than 0.1° are merged.

Structural model:
a b c (Å): 7.4051 7.4051 7.4051
angles (deg): 98.13 98.13 135.83
Fractional positions:
Na  0.1326  0.2945  0.4271
Na  0.2945  0.8674  0.1618
Na  0.7055  0.1326  0.8382
Na  0.8674  0.7055  0.5729
P  0.5000  0.5000  0.0000
Se  0.2590  0.5628  0.8218
Se  0.4372  0.2590  0.6962
Se  0.5628  0.7410  0.3038
Se  0.7410  0.4372  0.1782

The 10 most intense peaks (10° ≤ 2θ ≤ 90°), sorted by position:
d_spacing  2theta  I_rel
4.831  18.4  100
3.427  26.0  46
3.069  29.1  73
2.784  32.1  40
2.424  37.1  27
2.168  41.7  64
2.062  43.9  46
1.833  49.8  16
1.457  63.9  14
1.428  65.3  15

***

Simulated XRD peak list of DyTm2Ag for Cu Kα X-rays, from a structure optimized by DFT (PBE).
Lines closer than 0.1° are merged.

Structural model:
a b c (Å): 3.5606 3.5606 30.6151
angles (deg): 90.00 90.00 120.00
Fractional positions:
Dy  0.0000  0.0000  0.0000
Dy  0.3333  0.6667  0.6667
Dy  0.6667  0.3333  0.3333
Tm  0.0000  0.0000  0.5740
Tm  0.0000  0.0000  0.7588
Tm  0.3333  0.6667  0.2407
Tm  0.3333  0.6667  0.4255
Tm  0.6667  0.3333  0.0922
Tm  0.6667  0.3333  0.9073
Ag  0.0000  0.0000  0.1662
Ag  0.3333  0.6667  0.8329
Ag  0.6667  0.3333  0.4995

The 10 most intense peaks (10° ≤ 2θ ≤ 90°), sorted by position:
d_spacing  2theta  I_rel
3.023  29.6  21
2.860  31.3  22
2.754  32.5  100
2.551  35.2  27
2.520  35.6  48
2.173  41.6  22
1.780  51.3  36
1.555  59.4  16
1.495  62.1  15
1.460  63.7  28

***

Simulated XRD peak list of Sr3Dy2YSe6 for Cu Kα X-rays, from a structure optimized by DFT (PBE).
Lines closer than 0.1° are merged.

Structural model:
a b c (Å): 7.2813 7.2813 7.4578
angles (deg): 99.39 99.39 119.94
Fractional positions:
Sr  0.0000  0.0000  0.0000
Sr  0.3335  0.6665  0.0000
Sr  0.6665  0.3335  0.0000
Dy  0.1667  0.8333  0.5000
Dy  0.8333  0.1667  0.5000
Y  0.5000  0.5000  0.5000
Se  0.0891  0.4232  0.2695
Se  0.2427  0.2427  0.7304
Se  0.4232  0.0891  0.2695
Se  0.5768  0.9109  0.7305
Se  0.7573  0.7573  0.2696
Se  0.9109  0.5768  0.7305

The 10 most intense peaks (10° ≤ 2θ ≤ 90°), sorted by position:
d_spacing  2theta  I_rel
7.050  12.6  8
2.999  29.8  100
2.140  42.2  37
2.103  43.0  37
1.763  51.9  6
1.722  53.2  19
1.500  61.9  12
1.351  69.6  16
1.332  70.7  16
1.221  78.3  12

***

Simulated XRD peak list of HoPuNiRu for Cu Kα X-rays, from a structure optimized by DFT (PBE).
Lines closer than 0.1° are merged.

Structural model:
a b c (Å): 6.7456 6.7456 6.7456
angles (deg): 90.00 90.00 90.00
Fractional positions:
Ho  0.0000  0.0000  0.0000
Ho  0.0000  0.5000  0.5000
Ho  0.5000  0.0000  0.5000
Ho  0.5000  0.5000  0.0000
Pu  0.0000  0.0000  0.5000
Pu  0.0000  0.5000  0.0000
Pu  0.5000  0.0000  0.0000
Pu  0.5000  0.5000  0.5000
Ni  0.2500  0.2500  0.7500
Ni  0.2500  0.7500  0.2500
Ni  0.7500  0.2500  0.2500
Ni  0.7500  0.7500  0.7500
Ru  0.2500  0.2500  0.2500
Ru  0.2500  0.7500  0.7500
Ru  0.7500  0.2500  0.7500
Ru  0.7500  0.7500  0.2500

The 10 most intense peaks (10° ≤ 2θ ≤ 90°), sorted by position:
d_spacing  2theta  I_rel
3.895  22.8  5
3.373  26.4  20
2.385  37.7  100
2.034  44.5  3
1.947  46.6  6
1.686  54.4  17
1.508  61.5  9
1.377  68.1  35
1.192  80.6  11
1.124  86.6  5